[1]
Structure and computed PXRD pattern of Ti2CoP2O10 (a PBE+U-relaxed structure; Cu Kα X-rays).
Lines closer than 0.1° are merged.

The 12 most intense peaks (5 to 70 degrees two-theta), by angle:
index  2θ (°)  I (rel.)
1 0 0  13.7  22
1 1 0  18.2  31
1 1 1  26.6  14
1 1 -2  26.8  100
2 0 0  27.6  60
1 2 1  33.9  12
1 2 -2  34.0  13
1 3 0  38.7  25
3 1 0  43.7  19
2 2 -4  55.2  19
3 3 0  56.4  13
4 0 0  57.0  25

Lattice parameters (Å, degrees): 7.433 7.480 7.431 90.00 119.54 90.00
Space group P2_1/c (No. 14)
Unique sites:
Ti1 0.235 0.223 0.208
Co1 0.500 0.000 0.000
P1 0.254 0.620 0.004
O1 0.057 0.733 0.928
O2 0.238 0.506 0.824
O3 0.269 0.159 0.000
O4 0.284 0.005 0.684
O5 0.441 0.749 0.086

[2]
Structure and computed PXRD pattern of Ti4CoP6O24 (a PBE+U-relaxed structure; Cu Kα X-rays).
Lines closer than 0.1° are merged.

The 12 most intense peaks (5 to 70 degrees two-theta), by angle:
index  2θ (°)  I (rel.)
1 0 1  12.6  15
1 1 0  20.5  41
1 0 4  20.8  17
1 1 3  24.2  100
0 2 4  29.4  16
3 -1 1  31.9  21
1 1 6  33.1  34
3 0 0  35.9  19
1 2 8  47.5  22
4 -2 6  49.7  12
4 1 0  56.2  15
3 1 8  56.7  11

Lattice parameters (Å, degrees): 8.6569 8.6569 20.7950 90.00 90.00 120.00
Space group R-3 (No. 148, hexagonal axes)
Unique sites:
Ti1 0.0000 0.0000 0.1315
Ti2 0.0000 0.0000 0.3540
Co1 0.0000 0.0000 0.5000
P1 0.0079 0.7162 0.2459
O1 0.0100 0.8196 0.1866
O2 0.0112 0.8198 0.3077
O3 0.0219 0.8250 0.9184
O4 0.0284 0.1848 0.4235

[3]
Structure and computed PXRD pattern of TiCoP2O8 (a PBE+U-relaxed structure; Cu Kα X-rays).
Lines closer than 0.1° are merged.

The 12 most intense peaks (5 to 70 degrees two-theta), by angle:
index  2θ (°)  I (rel.)
0 0 2  17.9  93
1 0 -1  20.0  52
1 0 1  20.3  70
0 1 2  23.4  45
1 1 -1  25.0  37
1 1 1  25.2  89
0 2 0  30.0  100
1 1 -3  35.8  66
1 1 3  36.3  75
1 2 1  36.5  26
2 2 0  48.0  24
2 2 -2  51.3  21

Lattice parameters (Å, degrees): 4.926 5.951 9.913 90.00 90.98 90.00
Space group P2_1/m (No. 11)
Unique sites:
Ti1 0.042 0.250 0.226
Co1 0.460 0.250 0.728
P1 0.066 0.750 0.097
P2 0.376 0.750 0.596
O1 0.142 0.750 0.945
O2 0.210 0.544 0.169
O3 0.223 0.552 0.669
O4 0.240 0.250 0.891
O5 0.322 0.250 0.359
O6 0.343 0.750 0.445

[4]
Structure and computed PXRD pattern of TiZnCoP3O12 (a PBE+U-relaxed structure; Cu Kα X-rays).
Lines closer than 0.1° are merged.

The 12 most intense peaks (5 to 70 degrees two-theta), by angle:
index  2θ (°)  I (rel.)
1 1 0  20.6  97
1 1 3  24.4  100
2 0 2  25.4  22
2 1 1  32.0  16
1 1 6  33.3  83
3 0 0  36.1  41
2 0 8  42.5  10
1 2 8  47.7  34
2 2 6  49.9  31
4 1 0  56.5  25
3 1 8  57.0  17
4 1 6  63.2  23

Lattice parameters (Å, degrees): 8.6156 8.6156 20.6820 90.00 90.00 120.00
Space group R3c (No. 161, hexagonal axes)
Unique sites:
Ti1 0.0000 0.0000 0.0000
Zn1 0.0000 0.0000 0.1477
Co1 0.0000 0.0000 0.2895
P1 0.9997 0.2941 0.3930
O1 0.0033 0.1898 0.4540
O2 0.0205 0.1833 0.0686
O3 0.1413 0.4652 0.9985
O4 0.1672 0.4828 0.3876

[5]
Structure and computed PXRD pattern of ZnCo2P2O10 (a PBE+U-relaxed structure; Cu Kα X-rays).
Lines closer than 0.1° are merged.

The 12 most intense peaks (5 to 70 degrees two-theta), by angle:
index  2θ (°)  I (rel.)
1 1 3  22.0  42
1 3 1  28.3  59
2 2 0  30.3  34
1 1 5  30.9  100
2 2 2  32.2  59
2 2 4  37.4  29
0 0 8  43.5  28
2 2 6  44.9  20
3 3 3  49.1  16
3 3 5  54.2  25
4 0 4  56.8  19
3 5 5  64.9  20

Lattice parameters (Å, degrees): 7.039 10.849 16.616 90.00 90.00 90.00
Space group Fddd (No. 70, origin choice 2)
Unique sites:
Zn1 0.125 0.125 0.125
Co1 0.000 0.000 0.500
P1 0.125 0.125 0.332
O1 0.047 0.364 0.525
O2 0.093 0.010 0.863
O3 0.125 0.125 0.542

[6]
Structure and computed PXRD pattern of ZnCoP2O7 (a PBE+U-relaxed structure; Cu Kα X-rays).
Lines closer than 0.1° are merged.

The 12 most intense peaks (5 to 70 degrees two-theta), by angle:
index  2θ (°)  I (rel.)
1 1 1  19.5  25
1 1 2  27.5  21
0 0 2  27.8  100
0 2 1  28.3  41
1 2 1  29.6  32
2 0 1  30.5  86
0 2 2  33.4  18
1 -2 0  34.5  18
2 0 -1  34.7  25
0 3 1  42.6  19
3 0 0  44.8  15
1 4 2  57.8  16

Lattice parameters (Å, degrees): 6.229 6.440 6.968 69.09 78.11 81.13
Space group P-1 (No. 2)
Unique sites:
Zn1 0.061 0.217 0.293
Co1 0.338 0.403 0.711
P1 0.158 0.707 0.270
P2 0.406 0.854 0.829
O1 0.002 0.430 0.765
O2 0.041 0.870 0.384
O3 0.265 0.868 0.051
O4 0.270 0.714 0.766
O5 0.338 0.548 0.382
O6 0.366 0.261 0.122
O7 0.406 0.096 0.691

[7]
Structure and computed PXRD pattern of ZnCo3P4O14 (a PBE+U-relaxed structure; Cu Kα X-rays).
Lines closer than 0.1° are merged.

The 12 most intense peaks (5 to 70 degrees two-theta), by angle:
index  2θ (°)  I (rel.)
0 0 2  19.9  58
2 1 -1  27.0  31
2 1 -2  28.5  100
1 1 -3  30.0  44
1 1 2  30.8  72
1 2 1  31.2  75
0 2 2  31.5  31
0 1 3  32.5  43
2 1 -3  33.2  57
2 1 1  34.3  58
1 2 -3  36.8  30
0 3 1  38.0  43

Lattice parameters (Å, degrees): 7.406 7.367 9.785 90.00 114.39 90.00
Space group P2_1/c (No. 14)
Unique sites:
Zn1 0.000 0.000 0.000
Co1 0.317 0.127 0.474
Co2 0.500 0.000 0.000
P1 0.088 0.098 0.695
P2 0.363 0.699 0.184
O1 0.122 0.247 0.598
O2 0.124 0.557 0.831
O3 0.162 0.591 0.152
O4 0.219 0.127 0.866
O5 0.297 0.620 0.599
O6 0.470 0.710 0.356
O7 0.475 0.583 0.115

[8]
Structure and computed PXRD pattern of PaCoO (a PBE+U-relaxed structure; Cu Kα X-rays).
Lines closer than 0.1° are merged.

The 12 most intense peaks (5 to 70 degrees two-theta), by angle:
index  2θ (°)  I (rel.)
0 0 2  24.7  8
2 0 0  26.9  100
1 1 1  30.5  28
0 0 3  37.4  15
2 0 -3  39.0  17
2 0 2  42.3  7
0 2 0  45.0  36
3 1 1  52.0  7
2 2 0  53.2  16
1 1 -4  53.5  17
3 1 -4  59.9  22
1 1 4  61.8  6

Lattice parameters (Å, degrees): 6.976 4.027 7.574 90.00 107.98 90.00
Space group C2/m (No. 12)
Unique sites:
Pa1 0.233 0.000 0.197
Co1 0.169 0.500 0.507
O1 0.130 0.000 0.891

[9]
Structure and computed PXRD pattern of Pa2CoO5 (a PBE+U-relaxed structure; Cu Kα X-rays).
Lines closer than 0.1° are merged.

The 12 most intense peaks (5 to 70 degrees two-theta), by angle:
index  2θ (°)  I (rel.)
0 0 2  14.8  61
0 2 1  16.9  36
1 1 0  22.2  100
0 2 3  27.1  73
0 4 0  30.7  22
1 3 0  31.1  27
1 1 3  31.6  54
0 4 2  34.2  24
1 3 2  34.6  32
0 2 5  40.8  23
2 0 0  42.3  23
2 2 3  51.0  27

Lattice parameters (Å, degrees): 4.273 11.657 11.955 90.00 90.00 90.00
Space group Cmcm (No. 63)
Unique sites:
Pa1 0.000 0.139 0.066
Co1 0.000 0.026 0.750
O1 0.000 0.052 0.594
O2 0.000 0.156 0.250
O3 0.000 0.313 0.537